The following is a computed powder diffraction line list of NdYGa2. It was derived from a crystal structure in OQMD, relaxed with PBE, using a wavelength of 1.5418 Å.
Kinematic intensities with the Lorentz-polarization factor, no thermal factor.

Peak list (10 most intense, 2θ = 5–70°, by angle)
d = 3.309 Å, 2θ = 26.94°, I = 15; d = 2.906 Å, 2θ = 30.77°, I = 100; d = 2.839 Å, 2θ = 31.52°, I = 41; d = 2.781 Å, 2θ = 32.19°, I = 24; d = 2.337 Å, 2θ = 38.52°, I = 60; d = 2.304 Å, 2θ = 39.09°, I = 23; d = 2.206 Å, 2θ = 40.90°, I = 27; d = 2.059 Å, 2θ = 43.98°, I = 22; d = 1.667 Å, 2θ = 55.10°, I = 17; d = 1.505 Å, 2θ = 61.61°, I = 16

```
NdYGa2
1.0
4.1178 0.0000 0.0000
0.0000 4.4128 0.0000
0.0000 0.0000 11.1224
Nd Y Ga
2 2 4
Direct
0.0000 0.0000 0.0000
0.0000 0.5000 0.5000
0.5000 0.0000 0.2792
0.5000 0.5000 0.7792
0.0000 0.0000 0.7178
0.0000 0.5000 0.2178
0.5000 0.0000 0.5701
0.5000 0.5000 0.0701
```